[1]
Calculated powder diffraction line list of Mg for Cu Ka, from a structure optimized by DFT (GGA-PBE).

Principal peaks in the range 2θ from 10° to 90°, most intense first:
d/Å	2theta	intensity	index
2.441	36.83	100.0	1 0 2
2.665	33.63	43.0	1 0 1
2.630	34.09	36.8	0 0 4
1.361	69.00	25.7	1 1 4
2.166	41.69	23.3	1 0 3
1.591	57.98	22.4	1 1 0
1.479	62.82	19.5	1 0 6
1.333	70.69	13.4	2 0 2
1.672	54.90	10.0	1 0 5
2.755	32.50	7.9	1 0 0

Cell and atoms:
```
data_Mg
_chemical_formula_sum 'Mg4'
_symmetry_space_group_name_H-M 'P 63/m m c'
_symmetry_Int_Tables_number 194
_symmetry_space_group_name_Hall '-P 6c 2c'
_cell_length_a 3.1813
_cell_length_b 3.1813
_cell_length_c 10.5208
_cell_angle_alpha 90.00
_cell_angle_beta 90.00
_cell_angle_gamma 120.00
loop_
_atom_site_label
_atom_site_type_symbol
_atom_site_fract_x
_atom_site_fract_y
_atom_site_fract_z
Mg1 Mg 0.0000 0.0000 0.0000
Mg2 Mg 0.3333 0.6667 0.2500
```



[2]
Calculated powder diffraction line list of TmSc12Cd3 for Cu Ka, from a structure optimized by DFT (GGA-PBE).

Principal peaks in the range 2θ from 10° to 90°, most intense first:
d/Å	2theta	intensity	index
2.633	34.05	100.0	1 1 4
2.266	39.77	32.1	2 0 0
1.369	68.54	23.3	3 1 4
1.617	56.93	19.7	2 0 8
4.533	19.58	19.3	1 0 0
3.235	27.57	17.0	1 0 4
2.309	39.01	16.0	0 0 8
1.388	67.50	10.6	1 1 12
1.603	57.51	10.5	2 2 0
4.618	19.22	9.9	0 0 4

Cell and atoms:
```
data_TmSc12Cd3
_chemical_formula_sum 'Tm1 Sc12 Cd3'
_symmetry_space_group_name_H-M 'P 4/m m m'
_symmetry_Int_Tables_number 123
_symmetry_space_group_name_Hall '-P 4 2'
_cell_length_a 4.5330
_cell_length_b 4.5330
_cell_length_c 18.4715
_cell_angle_alpha 90.00
_cell_angle_beta 90.00
_cell_angle_gamma 90.00
loop_
_atom_site_label
_atom_site_type_symbol
_atom_site_fract_x
_atom_site_fract_y
_atom_site_fract_z
Tm1 Tm 0.0000 0.0000 0.0000
Sc1 Sc 0.0000 0.5000 0.1317
Sc2 Sc 0.0000 0.5000 0.3779
Sc3 Sc 0.5000 0.5000 0.0000
Sc4 Sc 0.5000 0.5000 0.2565
Sc5 Sc 0.5000 0.5000 0.5000
Cd1 Cd 0.0000 0.0000 0.2574
Cd2 Cd 0.0000 0.0000 0.5000
```



[3]
Calculated powder diffraction line list of Rb3PtF for Cu Ka, from a structure optimized by DFT (GGA-PBE).

Principal peaks in the range 2θ from 10° to 90°, most intense first:
d/Å	2theta	intensity	index
3.139	28.43	100.0	1 1 1
2.719	32.95	61.0	2 0 0
1.639	56.10	44.8	3 1 1
1.922	47.29	43.6	2 2 0
3.845	23.13	20.6	1 1 0
1.216	78.71	19.4	4 2 0
1.247	76.35	18.5	3 3 1
1.110	87.99	15.1	4 2 2
1.570	58.83	15.0	2 2 2
5.437	16.30	9.8	1 0 0

Cell and atoms:
```
data_Rb3PtF
_chemical_formula_sum 'Rb3 Pt1 F1'
_symmetry_space_group_name_H-M 'P m -3 m'
_symmetry_Int_Tables_number 221
_symmetry_space_group_name_Hall '-P 4 2 3'
_cell_length_a 5.4372
_cell_length_b 5.4372
_cell_length_c 5.4372
_cell_angle_alpha 90.00
_cell_angle_beta 90.00
_cell_angle_gamma 90.00
loop_
_atom_site_label
_atom_site_type_symbol
_atom_site_fract_x
_atom_site_fract_y
_atom_site_fract_z
Rb1 Rb 0.0000 0.0000 0.5000
Pt1 Pt 0.5000 0.5000 0.5000
F1 F 0.0000 0.0000 0.0000
```



[4]
Calculated powder diffraction line list of Dy2Ga2Mo2C for Cu Ka, from a structure optimized by DFT (GGA-PBE).

Principal peaks in the range 2θ from 10° to 90°, most intense first:
d/Å	2theta	intensity	index
2.567	34.95	100.0	1 1 -2
2.621	34.21	72.3	3 1 -1
2.774	32.28	45.2	4 0 -1
2.312	38.96	37.6	4 0 -3
2.389	37.66	28.2	3 1 0
3.058	29.20	26.9	2 0 1
1.824	50.01	23.9	0 2 0
1.371	68.41	22.0	5 1 -5
1.976	45.93	20.2	3 1 1
1.805	50.56	19.2	2 0 -4

Cell and atoms:
```
data_Dy2Ga2Mo2C
_chemical_formula_sum 'Dy4 Ga4 Mo4 C2'
_symmetry_space_group_name_H-M 'C 1 2/m 1'
_symmetry_Int_Tables_number 12
_cell_length_a 11.3179
_cell_length_b 3.6475
_cell_length_c 7.4638
_cell_angle_alpha 90.00
_cell_angle_beta 123.09
_cell_angle_gamma 90.00
loop_
_symmetry_equiv_pos_as_xyz
'x,y,z'
'-x,-y,-z'
'-x,y,-z'
'x,-y,z'
'x+1/2,y+1/2,z'
'-x+1/2,-y+1/2,-z'
'-x+1/2,y+1/2,-z'
'x+1/2,-y+1/2,z'
loop_
_atom_site_label
_atom_site_type_symbol
_atom_site_fract_x
_atom_site_fract_y
_atom_site_fract_z
Dy1 Dy 0.0693 0.0000 0.2792
Ga1 Ga 0.1299 0.5000 0.6514
Mo1 Mo 0.2015 0.5000 0.0713
C1 C 0.0000 0.5000 0.0000
```